# 1
For BeGaCu5, the GGA-PBE geometry in Alexandria gives the simulated powder XRD pattern in this record (Cu Kα X-rays).
No peak broadening, texture or thermal motion is included.

Cell and atoms:
Lattice parameters (Å, degrees): 4.568 4.635 10.955 90.00 90.00 90.00
Space group Imm2 (No. 44)
One atom of each set of equivalent atoms:
Be 0.000 0.000 0.000 [2 per cell]
Ga 0.000 0.500 0.209 [2 per cell]
Cu 0.000 0.245 0.830 [4 per cell]
Cu 0.000 0.500 0.444 [2 per cell]
Cu 0.250 0.000 0.165 [4 per cell]

Most intense lines, 10° ≤ 2θ ≤ 90°, by angle:
d_spacing  intensity  (hkl)
5.477  100.0  0 0 2
4.269  90.7  0 1 1
3.254  48.3  1 1 0
2.852  93.2  1 0 3
2.108  49.9  2 0 2
2.031  84.0  1 2 1
2.014  67.0  2 1 1
1.975  45.8  1 0 5
1.787  48.1  2 1 3
1.769  63.7  0 2 4

---

# 2
For BeGa2Cu12, the GGA-PBE geometry in Alexandria gives the simulated powder XRD pattern in this record (Cu Kα X-rays).
No peak broadening, texture or thermal motion is included.

Cell and atoms:
Lattice parameters (Å, degrees): 4.861 4.861 17.027 90.00 90.00 90.00
Space group P4/nbm (No. 125, origin choice 2)
One atom of each set of equivalent atoms:
Be 0.250 0.750 0.000 [2 per cell]
Ga 0.250 0.750 0.267 [4 per cell]
Cu 0.000 0.000 0.085 [8 per cell]
Cu 0.075 0.575 0.436 [8 per cell]
Cu 0.250 0.250 0.193 [4 per cell]
Cu 0.250 0.250 0.334 [4 per cell]

Most intense lines, 10° ≤ 2θ ≤ 90°, by angle:
d_spacing  intensity  (hkl)
2.838  20.7  0 0 6
2.674  16.6  1 1 4
2.337  100.0  2 0 2
2.188  35.8  1 1 6
2.128  14.5  0 0 8
2.109  24.0  2 0 4
2.030  14.7  2 1 3
1.986  19.1  1 1 7
1.846  37.6  2 0 6
1.719  38.5  2 2 0

---

# 3
For Be2Ga2Cu7Si, the GGA-PBE geometry in Alexandria gives the simulated powder XRD pattern in this record (Cu Kα X-rays).
No peak broadening, texture or thermal motion is included.

Cell and atoms:
Lattice parameters (Å, degrees): 5.064 5.211 11.328 90.00 90.21 90.00
Space group C2/m (No. 12)
One atom of each set of equivalent atoms:
Be 0.001 0.000 0.307 [4 per cell]
Ga 0.001 0.500 0.321 [4 per cell]
Cu 0.000 0.000 0.000 [2 per cell]
Cu 0.235 0.000 0.499 [4 per cell]
Cu 0.249 0.250 0.839 [8 per cell]
Si 0.000 0.500 0.000 [2 per cell]

Most intense lines, 10° ≤ 2θ ≤ 90°, by angle:
d_spacing  intensity  (hkl)
3.057  49.2  1 1 2
2.539  52.0  0 2 1
2.367  43.0  0 2 2
2.144  72.8  0 2 3
2.106  100.0  2 0 -3
2.099  99.3  2 0 3
1.918  53.3  0 2 4
1.888  68.4  0 0 6
1.816  44.6  2 2 0
1.793  52.2  2 2 -1

---

# 4
For BeCu6Ge, the GGA-PBE geometry in Alexandria gives the simulated powder XRD pattern in this record (Cu Kα X-rays).
No peak broadening, texture or thermal motion is included.

Cell and atoms:
Lattice parameters (Å, degrees): 6.100 7.097 4.561 90.00 97.10 90.00
Space group C2/m (No. 12)
One atom of each set of equivalent atoms:
Be 0.000 0.000 0.000 [2 per cell]
Cu 0.158 0.500 0.717 [4 per cell]
Cu 0.167 0.314 0.217 [8 per cell]
Ge 0.000 0.000 0.500 [2 per cell]

Most intense lines, 10° ≤ 2θ ≤ 90°, by angle:
d_spacing  intensity  (hkl)
2.793  38.8  0 2 1
2.263  50.9  0 0 2
2.135  100.0  2 2 -1
2.017  73.9  1 3 -1
1.979  45.3  2 2 1
1.959  58.7  1 1 2
1.947  92.4  1 3 1
1.941  74.9  3 1 0
1.930  56.9  2 0 -2
1.272  34.1  1 3 -3

---

# 5
For Be2Cu8Ge, the GGA-PBE geometry in Alexandria gives the simulated powder XRD pattern in this record (Cu Kα X-rays).
No peak broadening, texture or thermal motion is included.

Cell and atoms:
Lattice parameters (Å, degrees): 2.753 5.395 8.947 90.00 90.27 90.00
Space group P2/m (No. 10)
One atom of each set of equivalent atoms:
Be 0.000 0.245 0.000 [2 per cell]
Cu 0.002 0.266 0.668 [4 per cell]
Cu 0.499 0.500 0.143 [2 per cell]
Cu 0.500 0.000 0.149 [2 per cell]
Ge 0.500 0.000 0.500 [1 per cell]

Most intense lines, 10° ≤ 2θ ≤ 90°, by angle:
d_spacing  intensity  (hkl)
4.474  17.7  0 0 2
2.631  29.1  1 0 -1
2.583  26.9  0 2 1
2.237  15.4  0 0 4
2.027  53.3  1 0 -3
2.018  52.3  1 0 3
2.001  100.0  0 2 3
1.927  94.8  1 2 0
1.491  15.0  0 0 6
1.376  14.8  2 0 0

---

# 6
For Be2Cu7SiGe2, the GGA-PBE geometry in Alexandria gives the simulated powder XRD pattern in this record (Cu Kα X-rays).
No peak broadening, texture or thermal motion is included.

Cell and atoms:
Lattice parameters (Å, degrees): 5.018 5.356 11.251 90.00 90.23 90.00
Space group C2/m (No. 12)
One atom of each set of equivalent atoms:
Be 0.000 0.000 0.191 [4 per cell]
Cu 0.000 0.000 0.500 [2 per cell]
Cu 0.238 0.000 0.999 [4 per cell]
Cu 0.249 0.250 0.338 [8 per cell]
Si 0.000 0.500 0.500 [2 per cell]
Ge 0.002 0.500 0.819 [4 per cell]

Most intense lines, 10° ≤ 2θ ≤ 90°, by angle:
d_spacing  intensity  (hkl)
3.069  52.6  1 1 -2
2.605  56.4  0 2 1
2.418  45.4  0 2 2
2.180  78.8  0 2 3
2.089  100.0  2 0 -3
2.082  99.3  2 0 3
1.940  50.7  0 2 4
1.875  68.0  0 0 6
1.831  47.3  2 2 0
1.807  54.3  2 2 -1

---

# 7
For HoBe5Cu7, the GGA-PBE geometry in Alexandria gives the simulated powder XRD pattern in this record (Cu Kα X-rays).
No peak broadening, texture or thermal motion is included.

Cell and atoms:
Lattice parameters (Å, degrees): 4.503 8.157 8.153 90.00 90.00 90.00
Space group Imm2 (No. 44)
One atom of each set of equivalent atoms:
Ho 0.000 0.000 0.000 [2 per cell]
Be 0.000 0.500 0.261 [2 per cell]
Be 0.249 0.246 0.746 [8 per cell]
Cu 0.000 0.000 0.352 [2 per cell]
Cu 0.000 0.000 0.652 [2 per cell]
Cu 0.000 0.285 0.492 [4 per cell]
Cu 0.000 0.351 0.002 [4 per cell]
Cu 0.000 0.500 0.723 [2 per cell]

Most intense lines, 10° ≤ 2θ ≤ 90°, by angle:
d_spacing  intensity  (hkl)
4.077  60.3  0 0 2
2.834  27.8  1 2 1
2.579  21.5  0 1 3
2.327  71.1  1 3 0
2.251  40.9  2 0 0
2.039  23.6  0 0 4
2.021  100.0  1 2 3
1.971  24.2  2 0 2
1.251  19.4  3 2 3
1.174  23.4  1 3 6

---

# 8
For HoBeCu3, the GGA-PBE geometry in Alexandria gives the simulated powder XRD pattern in this record (Cu Kα X-rays).
No peak broadening, texture or thermal motion is included.

Cell and atoms:
Lattice parameters (Å, degrees): 5.8939 5.8939 4.8972 90.00 90.00 120.00
Space group P6_3/mmc (No. 194)
One atom of each set of equivalent atoms:
Ho 0.3333 0.6667 0.2500 [2 per cell]
Be 0.0000 0.0000 0.0000 [2 per cell]
Cu 0.1866 0.3731 0.7500 [6 per cell]

Most intense lines, 10° ≤ 2θ ≤ 90°, by angle:
d_spacing  intensity  (hkl)
5.104  19.4  1 0 0
3.534  13.3  1 0 1
2.552  22.3  2 0 0
2.449  29.2  0 0 2
2.263  100.0  2 0 1
1.795  14.6  2 1 1
1.767  16.5  2 0 2
1.473  14.8  2 2 0
1.375  19.2  2 0 3
1.263  16.1  2 2 2

---

# 9
For HoBe6Cu6, the GGA-PBE geometry in Alexandria gives the simulated powder XRD pattern in this record (Cu Kα X-rays).
No peak broadening, texture or thermal motion is included.

Cell and atoms:
Lattice parameters (Å, degrees): 4.444 8.081 8.110 90.00 90.00 90.00
Space group Immm (No. 71)
One atom of each set of equivalent atoms:
Ho 0.000 0.000 0.000 [2 per cell]
Be 0.000 0.261 0.500 [4 per cell]
Be 0.250 0.250 0.250 [8 per cell]
Cu 0.000 0.000 0.352 [4 per cell]
Cu 0.000 0.349 0.000 [4 per cell]
Cu 0.000 0.500 0.293 [4 per cell]

Most intense lines, 10° ≤ 2θ ≤ 90°, by angle:
d_spacing  intensity  (hkl)
4.042  87.9  0 2 0
3.897  38.7  1 0 1
2.809  25.2  1 1 2
2.556  23.2  0 3 1
2.310  76.7  1 0 3
2.304  24.9  1 3 0
2.222  40.5  2 0 0
2.004  100.0  1 3 2
1.947  33.2  2 2 0
1.237  19.4  3 3 2

---

# 10
For BeCu2I5, the GGA-PBE geometry in Alexandria gives the simulated powder XRD pattern in this record (Cu Kα X-rays).
No peak broadening, texture or thermal motion is included.

Cell and atoms:
Lattice parameters (Å, degrees): 7.323 7.369 7.654 101.13 105.50 119.18
Space group P1 (No. 1)
One atom of each set of equivalent atoms:
Be 0.000 0.000 0.000 [1 per cell]
Cu 0.307 0.651 0.997 [1 per cell]
Cu 0.408 0.523 0.509 [1 per cell]
I 0.114 0.106 0.349 [1 per cell]
I 0.245 0.935 0.883 [1 per cell]
I 0.483 0.816 0.376 [1 per cell]
I 0.616 0.631 0.877 [1 per cell]
I 0.938 0.253 0.877 [1 per cell]

Most intense lines, 10° ≤ 2θ ≤ 90°, by angle:
d_spacing  intensity  (hkl)
6.327  48.8  1 -1 0
5.789  49.7  1 0 0
3.559  100.0  -2 1 1
3.496  66.3  1 -2 1
3.404  73.2  0 0 2
3.311  61.2  1 1 0
3.215  35.1  1 1 -2
2.948  31.7  -1 2 1
2.813  36.1  2 -1 1
2.108  40.3  3 0 -1

---

# 11
For BeInCu2, the GGA-PBE geometry in Alexandria gives the simulated powder XRD pattern in this record (Cu Kα X-rays).
No peak broadening, texture or thermal motion is included.

Cell and atoms:
Lattice parameters (Å, degrees): 3.796 3.796 3.784 90.00 90.00 90.00
Space group P4/mmm (No. 123)
One atom of each set of equivalent atoms:
Be 0.000 0.000 0.000 [1 per cell]
In 0.500 0.500 0.000 [1 per cell]
Cu 0.000 0.500 0.500 [2 per cell]

Most intense lines, 10° ≤ 2θ ≤ 90°, by angle:
d_spacing  intensity  (hkl)
3.796  39.9  1 0 0
2.680  32.6  1 0 1
2.189  100.0  1 1 1
1.898  31.7  2 0 0
1.892  15.7  0 0 2
1.549  11.7  2 1 1
1.340  18.9  2 0 2
1.144  22.5  3 1 1
1.142  11.2  1 1 3
1.095  10.0  2 2 2

---

# 12
For ScBeInCu, the GGA-PBE geometry in Alexandria gives the simulated powder XRD pattern in this record (Cu Kα X-rays).
No peak broadening, texture or thermal motion is included.

Cell and atoms:
Lattice parameters (Å, degrees): 6.333 6.333 6.333 90.00 90.00 90.00
Space group F-43m (No. 216)
One atom of each set of equivalent atoms:
Sc 0.000 0.000 0.000 [4 per cell]
Be 0.250 0.250 0.250 [4 per cell]
In 0.000 0.000 0.500 [4 per cell]
Cu 0.250 0.250 0.750 [4 per cell]

Most intense lines, 10° ≤ 2θ ≤ 90°, by angle:
d_spacing  intensity  (hkl)
3.656  40.7  1 1 1
3.166  17.6  2 0 0
2.239  100.0  2 2 0
1.909  20.5  3 1 1
1.583  15.9  4 0 0
1.453  8.1  3 3 1
1.416  5.9  4 2 0
1.293  31.1  4 2 2
1.219  6.0  5 1 1
1.120  9.9  4 4 0